Entry 1:
Structure and theoretical X-ray diffraction stick pattern of Mn2CoSi (DFT lattice parameters and positions (GGA-PBE); a wavelength of 1.5418 Å).
Peak positions follow from Bragg's law for the DFT cell and can differ from measured ones.

Most intense lines, 2θ = 10–90°, by intensity:
2theta  d_spacing  I_rel
44.46  2.038  100
52.83  1.733  29
75.49  1.259  18
49.74  1.833  18
89.64  1.094  12
28.48  3.134  10
77.97  1.225  8
45.41  1.997  3
61.11  1.517  2
24.28  3.666  1

Structure:
```
data_Mn2CoSi
_cell_length_a 4.4100
_cell_length_b 4.4100
_cell_length_c 4.4100
_cell_angle_alpha 133.72
_cell_angle_beta 133.72
_cell_angle_gamma 67.52
_space_group_name_H-M_alt 'P 1'
_space_group_IT_number 1
_space_group_name_Hall 'P 1'
loop_
_atom_site_label
_atom_site_type_symbol
_atom_site_fract_x
_atom_site_fract_y
_atom_site_fract_z
_atom_site_occupancy
Mn1 Mn 0.2500 0.7500 0.5000 1
Mn2 Mn 0.7500 0.2500 0.5000 1
Co1 Co 0.0000 0.0000 0.0000 1
Si1 Si 0.5000 0.5000 0.0000 1
```

***

Entry 2:
Structure and theoretical X-ray diffraction stick pattern of LaTm3B4O12 (DFT lattice parameters and positions (GGA-PBE); a wavelength of 1.5418 Å).
Peak positions follow from Bragg's law for the DFT cell and can differ from measured ones.

Most intense lines, 2θ = 10–90°, by intensity:
2theta  d_spacing  I_rel
22.84  3.894  100
29.33  3.045  94
48.30  1.884  32
35.44  2.533  29
47.75  1.905  23
42.88  2.109  22
17.51  5.065  18
42.58  2.123  18
28.92  3.087  16
46.65  1.947  12

Structure:
```
data_LaTm3B4O12
_cell_length_a 6.4930
_cell_length_b 6.4930
_cell_length_c 6.4930
_cell_angle_alpha 102.54
_cell_angle_beta 102.54
_cell_angle_gamma 102.54
_space_group_name_H-M_alt 'P 1'
_space_group_IT_number 1
_space_group_name_Hall 'P 1'
loop_
_atom_site_label
_atom_site_type_symbol
_atom_site_fract_x
_atom_site_fract_y
_atom_site_fract_z
_atom_site_occupancy
La1 La 0.0000 0.0000 0.0000 1
Tm1 Tm 0.0000 0.5402 0.4598 1
Tm2 Tm 0.4598 0.0000 0.5402 1
Tm3 Tm 0.5402 0.4598 0.0000 1
B1 B 0.0412 0.5000 0.9588 1
B2 B 0.5000 0.5000 0.5000 1
B3 B 0.5000 0.9588 0.0412 1
B4 B 0.9588 0.0412 0.5000 1
O1 O 0.0280 0.6298 0.8152 1
O2 O 0.0955 0.9045 0.5000 1
O3 O 0.1848 0.3702 0.9720 1
O4 O 0.3632 0.6368 0.5000 1
O5 O 0.3702 0.9720 0.1848 1
O6 O 0.5000 0.0955 0.9045 1
O7 O 0.5000 0.3632 0.6368 1
O8 O 0.6298 0.8152 0.0280 1
O9 O 0.6368 0.5000 0.3632 1
O10 O 0.8152 0.0280 0.6298 1
O11 O 0.9045 0.5000 0.0955 1
O12 O 0.9720 0.1848 0.3702 1
```

***

Entry 3:
Structure and theoretical X-ray diffraction stick pattern of LaRu2O8 (DFT lattice parameters and positions (GGA-PBE); a wavelength of 1.5418 Å).
Peak positions follow from Bragg's law for the DFT cell and can differ from measured ones.

Most intense lines, 2θ = 10–90°, by intensity:
2theta  d_spacing  I_rel
18.09  4.904  100
25.24  3.528  98
30.51  2.930  83
26.29  3.390  58
32.04  2.794  39
47.19  1.926  38
44.46  2.038  33
30.00  2.978  33
47.31  1.922  28
33.06  2.709  26

Structure:
```
data_LaRu2O8
_cell_length_a 6.0529
_cell_length_b 6.0529
_cell_length_c 6.1968
_cell_angle_alpha 105.64
_cell_angle_beta 105.64
_cell_angle_gamma 54.97
_space_group_name_H-M_alt 'P 1'
_space_group_IT_number 1
_space_group_name_Hall 'P 1'
loop_
_atom_site_label
_atom_site_type_symbol
_atom_site_fract_x
_atom_site_fract_y
_atom_site_fract_z
_atom_site_occupancy
La1 La 0.0000 0.0000 0.0000 1
Ru1 Ru 0.2063 0.2063 0.6862 1
Ru2 Ru 0.7937 0.7937 0.3138 1
O1 O 0.1032 0.6399 0.2033 1
O2 O 0.1551 0.1551 0.3836 1
O3 O 0.3601 0.8968 0.7967 1
O4 O 0.3754 0.3754 0.8110 1
O5 O 0.6246 0.6246 0.1890 1
O6 O 0.6399 0.1032 0.2033 1
O7 O 0.8449 0.8449 0.6164 1
O8 O 0.8968 0.3601 0.7967 1
```

***

Entry 4:
Structure and theoretical X-ray diffraction stick pattern of KBaYB2O6 (DFT lattice parameters and positions (GGA-PBE); a wavelength of 1.5418 Å).
Peak positions follow from Bragg's law for the DFT cell and can differ from measured ones.

Most intense lines, 2θ = 10–90°, by intensity:
2theta  d_spacing  I_rel
31.06  2.880  100
19.32  4.594  67
32.65  2.742  66
27.22  3.277  45
43.01  2.103  37
45.69  1.986  25
56.76  1.622  24
57.28  1.608  23
51.13  1.787  17
54.22  1.692  16

Structure:
```
data_KBaYB2O6
_cell_length_a 6.8151
_cell_length_b 6.8151
_cell_length_c 6.8151
_cell_angle_alpha 47.46
_cell_angle_beta 47.46
_cell_angle_gamma 47.46
_space_group_name_H-M_alt 'P 1'
_space_group_IT_number 1
_space_group_name_Hall 'P 1'
loop_
_atom_site_label
_atom_site_type_symbol
_atom_site_fract_x
_atom_site_fract_y
_atom_site_fract_z
_atom_site_occupancy
K1 K 0.0000 0.0000 0.0000 1
Ba1 Ba 0.5696 0.5696 0.5696 1
Y1 Y 0.7758 0.7758 0.7758 1
B1 B 0.1874 0.1874 0.1874 1
B2 B 0.3645 0.3645 0.3645 1
O1 O 0.0415 0.0415 0.4806 1
O2 O 0.0415 0.4806 0.0415 1
O3 O 0.0714 0.5116 0.5116 1
O4 O 0.4806 0.0415 0.0415 1
O5 O 0.5116 0.0714 0.5116 1
O6 O 0.5116 0.5116 0.0714 1
```

***

Entry 5:
Structure and theoretical X-ray diffraction stick pattern of Pu2Cd3Au6 (DFT lattice parameters and positions (GGA-PBE); a wavelength of 1.5418 Å).
Peak positions follow from Bragg's law for the DFT cell and can differ from measured ones.

Most intense lines, 2θ = 10–90°, by intensity:
2theta  d_spacing  I_rel
34.46  2.603  100
31.81  2.813  91
33.32  2.689  70
45.71  1.985  59
37.27  2.412  48
36.64  2.453  44
43.38  2.086  44
36.89  2.437  41
10.36  8.541  32
22.39  3.970  32

Structure:
```
data_Pu2Cd3Au6
_cell_length_a 7.4136
_cell_length_b 3.9702
_cell_length_c 8.6610
_cell_angle_alpha 90.00
_cell_angle_beta 99.56
_cell_angle_gamma 90.00
_space_group_name_H-M_alt 'P 1'
_space_group_IT_number 1
_space_group_name_Hall 'P 1'
loop_
_atom_site_label
_atom_site_type_symbol
_atom_site_fract_x
_atom_site_fract_y
_atom_site_fract_z
_atom_site_occupancy
Pu1 Pu 0.2386 0.0000 0.4201 1
Pu2 Pu 0.7614 0.0000 0.5799 1
Cd1 Cd 0.1697 0.0000 0.8899 1
Cd2 Cd 0.5000 0.5000 0.0000 1
Cd3 Cd 0.8303 0.0000 0.1101 1
Au1 Au 0.0942 0.5000 0.6550 1
Au2 Au 0.1664 0.5000 0.1321 1
Au3 Au 0.4754 0.5000 0.6678 1
Au4 Au 0.5246 0.5000 0.3322 1
Au5 Au 0.8336 0.5000 0.8679 1
Au6 Au 0.9058 0.5000 0.3450 1
```